# KLaZrNbO6
Computed powder X-ray diffraction pattern, λ = 1.5418 Å (Cu Kα). Input: the PBE geometry in the Materials Project.

Top 10 peaks for 5° ≤ 2θ ≤ 70°, by angle:
| 2theta | I (rel.) | hkl |
| --- | --- | --- |
| 18.60 | 181 | 1 1 1 |
| 21.51 | 26 | 2 0 0 |
| 30.61 | 1000 | 2 2 0 |
| 36.05 | 108 | 3 1 1 |
| 43.83 | 348 | 4 0 0 |
| 48.00 | 50 | 3 3 1 |
| 54.40 | 391 | 4 2 2 |
| 58.00 | 39 | 5 1 1 |
| 63.72 | 207 | 4 4 0 |
| 67.01 | 38 | 5 3 1 |

Structure:
Lattice parameters (Å, degrees): 8.2621 8.2621 8.2621 90.00 90.00 90.00
Space group F-43m (No. 216)
One atom of each set of equivalent atoms:
K1 0.0000 0.0000 0.0000 x4
La1 0.0000 0.0000 0.5000 x4
Zr1 0.2500 0.2500 0.2500 x4
Nb1 0.2500 0.2500 0.7500 x4
O1 0.0045 0.2500 0.7500 x24